Structure and simulated powder diffraction line list of NaZn4Ag4 (a DFT-relaxed cell (GGA-PBE, Alexandria); Cu Kα).
Neutral-atom scattering factors, no anomalous dispersion.

Cell and atoms:
Lattice parameters (Å, degrees): 5.869 5.869 9.669 90.00 90.00 90.00
Space group P4_2/nmc (No. 137, origin choice 2)
Unique sites:
Na (0.250, 0.750, 0.250) (multiplicity 2)
Zn (0.032, 0.250, 0.183) (multiplicity 8)
Ag (0.014, 0.250, 0.470) (multiplicity 8)

Peak list (8 most intense, 5 to 70 degrees two-theta, low angle first)
d 5.017, I = 306; d 4.834, I = 209; d 2.808, I = 552; d 2.533, I = 358; d 2.235, I = 300; d 2.170, I = 1000; d 2.075, I = 494; d 1.467, I = 162